1.
For AcErAs, the GGA-PBE geometry in Alexandria gives the simulated powder X-ray diffraction pattern in this record (Cu Kα, 1.54184 Å).
Peak positions follow from Bragg's law for the DFT cell and can differ from measured ones.

a b c (Å): 4.207 12.410 6.957
angles (deg): 90.00 90.00 90.00
Space group Cmcm (No. 63)
Asymmetric unit:
Ac 0.000 0.213 0.250 [4 per cell]
Er 0.000 0.500 0.000 [4 per cell]
As 0.000 0.080 0.750 [4 per cell]

Top 10 peaks for 2θ from 10° to 90°, low angle first:
2θ 25.8, I = 79; 2θ 28.8, I = 33; 2θ 29.4, I = 94; 2θ 30.3, I = 78; 2θ 31.6, I = 47; 2θ 33.0, I = 82; 2θ 34.2, I = 100; 2θ 43.0, I = 36; 2θ 50.1, I = 66; 2θ 53.0, I = 38


2.
For AcErNi2As2, the GGA-PBE geometry in Alexandria gives the simulated powder X-ray diffraction pattern in this record (Cu Kα, 1.54184 Å).
Peak positions follow from Bragg's law for the DFT cell and can differ from measured ones.

a b c (Å): 4.1483 4.1483 8.0813
angles (deg): 90.00 90.00 120.00
Space group P-3m1 (No. 164)
Asymmetric unit:
Ac 0.0000 0.0000 0.0000 [1 per cell]
Er 0.0000 0.0000 0.5000 [1 per cell]
Ni 0.3333 0.6667 0.7269 [2 per cell]
As 0.3333 0.6667 0.2755 [2 per cell]

Top 10 peaks for 2θ from 10° to 90°, low angle first:
2θ 24.8, I = 22; 2θ 33.4, I = 100; 2θ 43.6, I = 39; 2θ 44.9, I = 10; 2θ 51.9, I = 8; 2θ 56.0, I = 26; 2θ 64.4, I = 21; 2θ 73.6, I = 20; 2θ 75.4, I = 8; 2θ 80.1, I = 7


3.
For AcTbEr2As4, the GGA-PBE geometry in Alexandria gives the simulated powder X-ray diffraction pattern in this record (Cu Kα, 1.54184 Å).
Peak positions follow from Bragg's law for the DFT cell and can differ from measured ones.

a b c (Å): 7.307 4.222 7.314
angles (deg): 90.00 109.41 90.00
Space group P2/m (No. 10)
Asymmetric unit:
Ac 0.000 0.000 0.000 [1 per cell]
Tb 0.000 0.500 0.500 [1 per cell]
Er 0.500 0.000 0.500 [1 per cell]
Er 0.500 0.500 0.000 [1 per cell]
As 0.261 0.000 0.744 [2 per cell]
As 0.269 0.500 0.266 [2 per cell]

Top 10 peaks for 2θ from 10° to 90°, low angle first:
2θ 25.8, I = 30; 2θ 29.9, I = 100; 2θ 42.8, I = 75; 2θ 50.7, I = 15; 2θ 53.1, I = 27; 2θ 62.2, I = 12; 2θ 68.5, I = 7; 2θ 70.5, I = 28; 2θ 70.6, I = 6; 2θ 78.5, I = 23


4.
For Ac2FeNi3As4, the GGA-PBE geometry in Alexandria gives the simulated powder X-ray diffraction pattern in this record (Cu Kα, 1.54184 Å).
Peak positions follow from Bragg's law for the DFT cell and can differ from measured ones.

a b c (Å): 4.334 4.334 9.772
angles (deg): 90.00 90.00 90.00
Space group P-4m2 (No. 115)
Asymmetric unit:
Ac 0.000 0.500 0.249 [2 per cell]
Fe 0.000 0.000 0.500 [1 per cell]
Ni 0.000 0.500 0.887 [2 per cell]
Ni 0.500 0.500 0.500 [1 per cell]
As 0.000 0.000 0.000 [1 per cell]
As 0.000 0.500 0.627 [2 per cell]
As 0.500 0.500 0.000 [1 per cell]

Top 10 peaks for 2θ from 10° to 90°, low angle first:
2θ 22.4, I = 34; 2θ 29.1, I = 31; 2θ 34.4, I = 88; 2θ 34.6, I = 100; 2θ 41.7, I = 61; 2θ 51.3, I = 25; 2θ 55.1, I = 46; 2θ 60.4, I = 20; 2θ 68.1, I = 21; 2θ 71.5, I = 35


5.
For Ac3GaAs2Rh9, the GGA-PBE geometry in Alexandria gives the simulated powder X-ray diffraction pattern in this record (Cu Kα, 1.54184 Å).
Peak positions follow from Bragg's law for the DFT cell and can differ from measured ones.

a b c (Å): 6.8803 6.8803 7.5171
angles (deg): 90.00 90.00 120.00
Space group P-3m1 (No. 164)
Asymmetric unit:
Ac 0.0000 0.0000 0.0000 [1 per cell]
Ac 0.3333 0.6667 0.6609 [2 per cell]
Ga 0.0000 0.0000 0.5000 [1 per cell]
As 0.3333 0.6667 0.1702 [2 per cell]
Rh 0.0000 0.5000 0.0000 [3 per cell]
Rh 0.1630 0.3260 0.3204 [6 per cell]

Top 10 peaks for 2θ from 10° to 90°, low angle first:
2θ 25.9, I = 27; 2θ 28.1, I = 23; 2θ 32.3, I = 92; 2θ 35.8, I = 23; 2θ 38.6, I = 100; 2θ 53.3, I = 39; 2θ 58.0, I = 29; 2θ 63.7, I = 13; 2θ 65.9, I = 23; 2θ 67.7, I = 19


6.
For AcGe2AsO8, the GGA-PBE geometry in Alexandria gives the simulated powder X-ray diffraction pattern in this record (Cu Kα, 1.54184 Å).
Peak positions follow from Bragg's law for the DFT cell and can differ from measured ones.

a b c (Å): 4.8063 4.8063 22.9143
angles (deg): 90.00 90.00 120.00
Space group R32 (No. 155, hexagonal axes)
Asymmetric unit:
Ac 0.0000 0.0000 0.0000 [3 per cell]
Ge 0.0000 0.0000 0.2376 [6 per cell]
As 0.0000 0.0000 0.5000 [3 per cell]
O 0.0000 0.0000 0.3141 [6 per cell]
O 0.0151 0.3093 0.5536 [18 per cell]

Top 10 peaks for 2θ from 10° to 90°, low angle first:
2θ 21.7, I = 13; 2θ 22.7, I = 14; 2θ 26.5, I = 100; 2θ 37.4, I = 41; 2θ 38.1, I = 29; 2θ 46.4, I = 23; 2θ 54.5, I = 12; 2θ 61.1, I = 19; 2θ 62.1, I = 17; 2θ 68.0, I = 12


Repeat the first record exactly.
For AcErAs, the GGA-PBE geometry in Alexandria gives the simulated powder X-ray diffraction pattern in this record (Cu Kα, 1.54184 Å).
Peak positions follow from Bragg's law for the DFT cell and can differ from measured ones.

a b c (Å): 4.207 12.410 6.957
angles (deg): 90.00 90.00 90.00
Space group Cmcm (No. 63)
Asymmetric unit:
Ac 0.000 0.213 0.250 [4 per cell]
Er 0.000 0.500 0.000 [4 per cell]
As 0.000 0.080 0.750 [4 per cell]

Top 10 peaks for 2θ from 10° to 90°, low angle first:
2θ 25.8, I = 79; 2θ 28.8, I = 33; 2θ 29.4, I = 94; 2θ 30.3, I = 78; 2θ 31.6, I = 47; 2θ 33.0, I = 82; 2θ 34.2, I = 100; 2θ 43.0, I = 36; 2θ 50.1, I = 66; 2θ 53.0, I = 38